Record 1
Structure and theoretical powder XRD pattern of Zr6Ag7 (a structure optimized by DFT (GGA-PBE); CuKα).

Cell and atoms:
Lattice parameters (Å, degrees): 5.5196 5.5196 29.7700 90.00 90.00 120.00
Space group R-3m (No. 166, hexagonal axes)
Unique sites:
Zr: 0.0000 0.0000 0.0463
Zr: 0.0000 0.0000 0.1558
Zr: 0.0000 0.0000 0.3310
Ag: 0.0000 0.0000 0.5000
Ag: 0.0019 0.5009 0.9103

Top 10 peaks for 2θ = 10–90°, by angle:
| 2θ (°) | I (rel.) | h k l |
| --- | --- | --- |
| 32.44 | 341 | 1 1 0 |
| 35.53 | 326 | 1 0 10 |
| 36.21 | 302 | 0 0 12 |
| 37.28 | 1000 | 1 1 6 |
| 37.76 | 475 | 0 2 1 |
| 38.20 | 673 | 0 1 11 |
| 40.68 | 584 | 2 0 5 |
| 43.43 | 253 | 0 2 7 |
| 61.73 | 236 | 1 2 11 |
| 67.93 | 338 | 2 2 0 |



Record 2
Structure and theoretical powder XRD pattern of Zr3Ag2 (a structure optimized by DFT (GGA-PBE); CuKα).

Cell and atoms:
Lattice parameters (Å, degrees): 3.150 3.150 21.120 90.00 90.00 90.00
Space group I4/mmm (No. 139)
Unique sites:
Zr: 0.000 0.000 0.000
Zr: 0.000 0.000 0.198
Ag: 0.000 0.000 0.402

Top 10 peaks for 2θ = 10–90°, by angle:
| 2θ (°) | I (rel.) | h k l |
| --- | --- | --- |
| 28.65 | 7 | 1 0 1 |
| 35.55 | 1000 | 1 0 5 |
| 40.50 | 346 | 1 1 0 |
| 42.82 | 145 | 0 0 10 |
| 58.61 | 112 | 2 0 0 |
| 60.40 | 201 | 1 1 10 |
| 70.46 | 251 | 2 1 5 |
| 73.70 | 108 | 1 0 15 |
| 75.26 | 103 | 2 0 10 |
| 87.61 | 36 | 2 2 0 |



Record 3
Structure and theoretical powder XRD pattern of Zr2Ag3 (a structure optimized by DFT (GGA-PBE); CuKα).

Cell and atoms:
Lattice parameters (Å, degrees): 10.041 3.275 7.346 90.00 124.20 90.00
Space group C2/m (No. 12)
Unique sites:
Zr: 0.197 0.000 0.293
Ag: 0.000 0.000 0.500
Ag: 0.100 0.500 0.891

Top 10 peaks for 2θ = 10–90°, by angle:
| 2θ (°) | I (rel.) | h k l |
| --- | --- | --- |
| 35.59 | 1000 | 1 1 1 |
| 36.85 | 447 | 2 0 -3 |
| 37.06 | 446 | 4 0 -1 |
| 40.17 | 705 | 3 1 -2 |
| 45.87 | 237 | 2 0 2 |
| 56.18 | 127 | 0 2 0 |
| 62.44 | 177 | 1 1 -4 |
| 62.72 | 179 | 5 1 0 |
| 69.10 | 131 | 2 2 -3 |
| 69.23 | 132 | 4 2 -1 |



Record 4
Structure and theoretical powder XRD pattern of ZrAg5 (a structure optimized by DFT (GGA-PBE); CuKα).

Cell and atoms:
Lattice parameters (Å, degrees): 9.916 2.974 8.399 90.00 115.61 90.00
Space group C2/m (No. 12)
Unique sites:
Zr: 0.000 0.000 0.000
Ag: 0.000 0.000 0.500
Ag: 0.166 0.500 0.338
Ag: 0.170 0.500 0.829

Top 10 peaks for 2θ = 10–90°, by angle:
| 2θ (°) | I (rel.) | h k l |
| --- | --- | --- |
| 36.81 | 506 | 4 0 -2 |
| 37.04 | 1000 | 1 1 -2 |
| 37.16 | 497 | 2 0 2 |
| 42.96 | 651 | 3 1 0 |
| 43.08 | 319 | 2 0 -4 |
| 62.26 | 302 | 6 0 0 |
| 62.71 | 199 | 1 1 4 |
| 74.56 | 173 | 7 1 -2 |
| 74.74 | 117 | 4 2 -2 |
| 74.97 | 347 | 5 1 2 |



Record 5
Structure and theoretical powder XRD pattern of Zr3Ag2 (a structure optimized by DFT (GGA-PBE); CuKα).

Cell and atoms:
Lattice parameters (Å, degrees): 10.299 3.179 7.528 90.00 121.45 90.00
Space group C2/m (No. 12)
Unique sites:
Zr: 0.000 0.000 0.000
Zr: 0.185 0.000 0.792
Ag: 0.111 0.500 0.406

Top 10 peaks for 2θ = 10–90°, by angle:
| 2θ (°) | I (rel.) | h k l |
| --- | --- | --- |
| 35.29 | 1000 | 1 1 1 |
| 35.63 | 462 | 4 0 -1 |
| 35.82 | 485 | 2 0 -3 |
| 40.50 | 670 | 3 1 -2 |
| 42.67 | 279 | 2 0 2 |
| 60.17 | 182 | 5 1 0 |
| 60.41 | 200 | 1 1 -4 |
| 69.98 | 120 | 4 2 -1 |
| 70.09 | 127 | 2 2 -3 |
| 70.95 | 119 | 5 1 -5 |



Record 6
Structure and theoretical powder XRD pattern of Zr7Ag6 (a structure optimized by DFT (GGA-PBE); CuKα).

Cell and atoms:
Lattice parameters (Å, degrees): 5.7160 5.7160 29.4759 90.00 90.00 120.00
Space group R-3m (No. 166, hexagonal axes)
Unique sites:
Zr: 0.0000 0.0000 0.0000
Zr: 0.0036 0.5018 0.4138
Ag: 0.0000 0.0000 0.1666
Ag: 0.0000 0.0000 0.3491
Ag: 0.0000 0.0000 0.4541

Top 10 peaks for 2θ = 10–90°, by angle:
| 2θ (°) | I (rel.) | h k l |
| --- | --- | --- |
| 31.30 | 414 | 1 1 0 |
| 35.44 | 302 | 1 0 10 |
| 36.39 | 1000 | 1 1 6 |
| 38.19 | 370 | 0 1 11 |
| 39.49 | 293 | 2 0 5 |
| 42.36 | 150 | 0 2 7 |
| 59.06 | 160 | 0 3 6 |
| 60.34 | 187 | 1 2 11 |
| 65.30 | 240 | 2 2 0 |
| 65.74 | 193 | 2 0 17 |



Record 7
Structure and theoretical powder XRD pattern of AlAs (a structure optimized by DFT (GGA-PBE); CuKα).

Cell and atoms:
Lattice parameters (Å, degrees): 4.0455 4.0455 6.6480 90.00 90.00 120.00
Space group P6_3mc (No. 186)
Unique sites:
Al: 0.3333 0.6667 0.0000
As: 0.3333 0.6667 0.3745

Top 10 peaks for 2θ = 10–90°, by angle:
| 2θ (°) | I (rel.) | h k l |
| --- | --- | --- |
| 25.42 | 676 | 1 0 0 |
| 26.82 | 479 | 0 0 2 |
| 28.80 | 1000 | 1 0 1 |
| 37.29 | 296 | 1 0 2 |
| 44.81 | 567 | 1 1 0 |
| 48.62 | 594 | 1 0 3 |
| 52.99 | 422 | 1 1 2 |
| 54.14 | 168 | 2 0 1 |
| 68.25 | 212 | 2 0 3 |
| 85.41 | 232 | 2 1 3 |



Record 8
Structure and theoretical powder XRD pattern of Al4As3 (a structure optimized by DFT (GGA-PBE); CuKα).

Cell and atoms:
Lattice parameters (Å, degrees): 3.708 3.708 20.803 90.00 90.00 90.00
Space group I4/mmm (No. 139)
Unique sites:
Al: 0.000 0.000 0.060
Al: 0.000 0.000 0.309
As: 0.000 0.000 0.180
As: 0.000 0.000 0.500

Top 10 peaks for 2θ = 10–90°, by angle:
| 2θ (°) | I (rel.) | h k l |
| --- | --- | --- |
| 25.69 | 406 | 0 0 6 |
| 27.27 | 748 | 1 0 3 |
| 34.19 | 1000 | 1 1 0 |
| 43.26 | 395 | 1 1 6 |
| 46.28 | 387 | 1 0 9 |
| 49.14 | 351 | 2 0 0 |
| 49.36 | 180 | 1 1 8 |
| 56.26 | 179 | 2 0 6 |
| 57.10 | 188 | 2 1 3 |
| 69.80 | 224 | 2 1 9 |